Record 1
# Nd9Ga4
Theoretical X-ray powder pattern, Cu Kα. Input: a crystal structure in the Materials Project, relaxed with PBE.
Intensities are scaled so that the largest is 1000.

Atomic structure:
Unit cell a=12.0599 b=12.0599 c=5.2038 alpha=90.00 beta=90.00 gamma=90.00
Space group I4/m (No. 87)
Asymmetric unit:
Nd 0.0000 0.0000 0.0000
Nd 0.0963 0.6261 0.0000
Nd 0.1113 0.8158 0.5000
Ga 0.1134 0.2327 0.0000

Most intense lines, 15 to 90 degrees two-theta, in order of rising 2θ:
d (Å)	intensity	(hkl)
3.181	260	3 0 1
3.015	151	4 0 0
2.814	1000	2 3 1
2.602	291	0 0 2
2.550	109	1 4 1
2.365	169	5 1 0
1.970	90	4 0 2
1.750	135	5 1 2
1.579	145	7 2 1
1.539	207	2 3 3

Record 2
# NdGa2
Theoretical X-ray powder pattern, Cu Kα. Input: a crystal structure in the Materials Project, relaxed with PBE.
Intensities are scaled so that the largest is 1000.

Atomic structure:
Unit cell a=4.2845 b=4.2845 c=4.3030 alpha=90.00 beta=90.00 gamma=120.00
Space group P6/mmm (No. 191)
Asymmetric unit:
Nd 0.0000 0.0000 0.0000
Ga 0.3333 0.6667 0.5000

Most intense lines, 15 to 90 degrees two-theta, in order of rising 2θ:
d (Å)	intensity	(hkl)
3.710	108	1 0 0
2.810	1000	1 0 1
2.151	139	0 0 2
2.142	412	1 1 0
1.704	224	2 0 1
1.518	271	1 1 2
1.338	99	1 0 3
1.333	196	2 1 1
1.237	68	3 0 0
1.135	59	2 0 3

Record 3
# NdGa3
Theoretical X-ray powder pattern, Cu Kα. Input: a crystal structure in the Materials Project, relaxed with PBE.
Intensities are scaled so that the largest is 1000.

Atomic structure:
Unit cell a=4.3825 b=4.3825 c=4.3825 alpha=90.00 beta=90.00 gamma=90.00
Space group Pm-3m (No. 221)
Asymmetric unit:
Nd 0.0000 0.0000 0.0000
Ga 0.0000 0.5000 0.5000

Most intense lines, 15 to 90 degrees two-theta, in order of rising 2θ:
d (Å)	intensity	(hkl)
4.383	116	1 0 0
3.099	97	1 1 0
2.530	1000	1 1 1
2.191	494	2 0 0
1.960	54	2 1 0
1.789	41	2 1 1
1.549	324	2 2 0
1.321	375	3 1 1
1.265	108	2 2 2
1.096	53	4 0 0

Record 4
# NdGa3
Theoretical X-ray powder pattern, Cu Kα. Input: a crystal structure in the Materials Project, relaxed with PBE.
Intensities are scaled so that the largest is 1000.

Atomic structure:
Unit cell a=6.4616 b=6.4616 c=4.6157 alpha=90.00 beta=90.00 gamma=120.00
Space group P6_3/mmc (No. 194)
Asymmetric unit:
Nd 0.3333 0.6667 0.2500
Ga 0.1433 0.2866 0.7500

Most intense lines, 15 to 90 degrees two-theta, in order of rising 2θ:
d (Å)	intensity	(hkl)
3.561	212	1 0 1
3.231	90	1 1 0
2.798	252	2 0 0
2.393	1000	2 0 1
2.308	221	0 0 2
1.780	131	2 0 2
1.615	157	2 2 0
1.348	157	2 0 3
1.339	106	4 0 1
1.323	159	2 2 2

Record 5
# Nd3Ga2Ni6
Theoretical X-ray powder pattern, Cu Kα. Input: a crystal structure in the Materials Project, relaxed with PBE.
Intensities are scaled so that the largest is 1000.

Atomic structure:
Unit cell a=9.0608 b=9.0608 c=9.0608 alpha=90.00 beta=90.00 gamma=90.00
Space group Im-3m (No. 229)
Asymmetric unit:
Nd 0.0000 0.0000 0.2888
Ga 0.2500 0.2500 0.2500
Ni 0.0000 0.3374 0.3374

Most intense lines, 15 to 90 degrees two-theta, in order of rising 2θ:
d (Å)	intensity	(hkl)
3.699	155	2 1 1
2.865	331	3 1 0
2.616	432	2 2 2
2.422	273	3 2 1
2.265	262	4 0 0
2.136	1000	3 3 0
1.654	157	5 2 1
1.470	170	5 3 2
1.366	212	6 2 2
1.233	253	6 3 3

Record 6
# Nd2Ga12Ni
Theoretical X-ray powder pattern, Cu Kα. Input: a crystal structure in the Materials Project, relaxed with PBE.
Intensities are scaled so that the largest is 1000.

Atomic structure:
Unit cell a=6.0381 b=6.0381 c=15.6397 alpha=90.00 beta=90.00 gamma=90.00
Space group P4/nbm (No. 125, origin choice 2)
Asymmetric unit:
Nd 0.2500 0.7500 0.2461
Ga 0.0004 0.9996 0.0840
Ga 0.0795 0.5795 0.4291
Ga 0.2500 0.2500 0.1837
Ga 0.2500 0.2500 0.3409
Ni 0.2500 0.7500 0.0000

Most intense lines, 15 to 90 degrees two-theta, in order of rising 2θ:
d (Å)	intensity	(hkl)
2.884	545	1 1 4
2.816	1000	2 0 2
2.607	154	0 0 6
2.390	292	2 0 4
2.224	496	1 1 6
2.172	146	2 0 5
2.135	606	2 2 0
1.973	200	2 0 6
1.716	279	3 1 4
1.366	217	3 1 8

Record 7
# Nd4Ga17Ni2
Theoretical X-ray powder pattern, Cu Kα. Input: a crystal structure in the Materials Project, relaxed with PBE.
Intensities are scaled so that the largest is 1000.

Atomic structure:
Unit cell a=4.2939 b=4.3553 c=47.7690 alpha=90.00 beta=90.00 gamma=90.00
Space group Imm2 (No. 44)
Asymmetric unit:
Nd 0.0000 0.0000 0.0000
Nd 0.0000 0.0000 0.1565
Nd 0.0000 0.0000 0.3836
Nd 0.0000 0.0000 0.7721
Ga 0.0000 0.0000 0.2473
Ga 0.0000 0.0000 0.2985
Ga 0.0000 0.0000 0.4703
Ga 0.0000 0.0000 0.5232
Ga 0.0000 0.0000 0.6360
Ga 0.0000 0.0000 0.6870
Ga 0.0000 0.0000 0.8572
Ga 0.0000 0.0000 0.9085
Ga 0.0000 0.5000 0.0997
Ga 0.0000 0.5000 0.2172
Ga 0.0000 0.5000 0.3275
Ga 0.0000 0.5000 0.4393
Ga 0.0000 0.5000 0.5516
Ga 0.0000 0.5000 0.6051
Ga 0.0000 0.5000 0.7167
Ga 0.0000 0.5000 0.8280
Ga 0.0000 0.5000 0.9390
Ni 0.0000 0.0000 0.0793
Ni 0.0000 0.5000 0.0471

Most intense lines, 15 to 90 degrees two-theta, in order of rising 2θ:
d (Å)	intensity	(hkl)
2.809	465	0 1 13
2.792	511	1 0 13
2.722	1000	1 1 8
2.575	574	1 1 10
2.178	574	0 2 0
2.147	517	2 0 0
2.004	281	1 1 18
1.717	239	1 2 13
1.706	216	2 1 13
1.529	368	2 2 0

Record 8
# Nd4Ga18Ni
Theoretical X-ray powder pattern, Cu Kα. Input: a crystal structure in the Materials Project, relaxed with PBE.
Intensities are scaled so that the largest is 1000.

Atomic structure:
Unit cell a=4.4045 b=4.4045 c=47.4745 alpha=90.00 beta=90.00 gamma=90.00
Space group I4/mmm (No. 139)
Asymmetric unit:
Nd 0.0000 0.0000 0.0789
Nd 0.0000 0.0000 0.3057
Ga 0.0000 0.0000 0.1688
Ga 0.0000 0.0000 0.2207
Ga 0.0000 0.0000 0.3902
Ga 0.0000 0.0000 0.4425
Ga 0.0000 0.5000 0.0273
Ga 0.0000 0.5000 0.1391
Ga 0.0000 0.5000 0.2500
Ni 0.0000 0.0000 0.0000

Most intense lines, 15 to 90 degrees two-theta, in order of rising 2θ:
d (Å)	intensity	(hkl)
2.811	878	1 0 13
2.758	868	1 1 8
2.604	531	1 1 10
2.202	1000	2 0 0
2.012	401	1 1 18
1.869	259	1 0 23
1.734	415	2 1 13
1.557	327	2 2 0
1.425	208	2 1 23
1.356	189	3 1 8